Structure and theoretical X-ray powder pattern of SrNdHf4O12 (a PBE-relaxed structure; Cu Kα X-rays).

The 10 most intense peaks (2θ from 10° to 90°), in order of rising 2θ:
| Position (°2θ) | I (rel.) |
| --- | --- |
| 18.8 | 26.0 |
| 21.7 | 47.8 |
| 21.9 | 21.8 |
| 30.9 | 48.0 |
| 31.0 | 100.0 |
| 44.2 | 28.6 |
| 49.8 | 16.2 |
| 55.0 | 40.8 |
| 55.2 | 19.9 |
| 64.6 | 15.4 |

Structural model:
Lattice parameters (Å, degrees): 8.2021 5.7680 5.7680 89.56 90.00 90.00
Atoms (fractional coordinates):
Sr (0.0000, 0.0000, 0.0000)
Nd (0.5000, 0.5596, 0.5596)
Hf (0.2514, 0.0392, 0.5153)
Hf (0.2514, 0.5153, 0.0392)
Hf (0.7486, 0.0392, 0.5153)
Hf (0.7486, 0.5153, 0.0392)
O (0.0000, 0.0528, 0.4870)
O (0.0000, 0.4870, 0.0528)
O (0.2389, 0.7491, 0.7491)
O (0.2404, 0.2403, 0.8113)
O (0.2404, 0.8113, 0.2403)
O (0.3076, 0.3332, 0.3332)
O (0.5000, 0.5363, 0.9631)
O (0.5000, 0.9631, 0.5363)
O (0.6924, 0.3332, 0.3332)
O (0.7596, 0.2403, 0.8113)
O (0.7596, 0.8113, 0.2403)
O (0.7611, 0.7491, 0.7491)